No. 1
Theoretical X-ray powder pattern of Mn4BeP for Cu Kα (λ = 1.5418 Å), from a DFT-relaxed cell (PBE, Alexandria).

Crystal structure
```
data_Mn4BeP
_cell_length_a 6.489
_cell_length_b 6.489
_cell_length_c 6.489
_cell_angle_alpha 90.00
_cell_angle_beta 90.00
_cell_angle_gamma 90.00
_symmetry_space_group_name_H-M 'F -4 3 m'
_symmetry_Int_Tables_number 216
_symmetry_space_group_name_Hall 'F -4 2 3'
loop_
_atom_site_label
_atom_site_fract_x
_atom_site_fract_y
_atom_site_fract_z
Mn1 0.125 0.125 0.125
Be1 0.000 0.000 0.500
P1 0.250 0.250 0.750
```

Principal peaks in the range 15° ≤ 2θ ≤ 90°, in order of rising 2θ:
Position (°2θ)	I (rel.)
23.75	86
27.49	4
39.27	6
46.41	100
48.60	76
56.74	24
62.37	15
76.24	27
84.45	27
89.31	10

---

No. 2
Theoretical X-ray powder pattern of Mn3BePd12 for Cu Kα (λ = 1.5418 Å), from a DFT-relaxed cell (PBE, Alexandria).

Crystal structure
```
data_Mn3BePd12
_cell_length_a 3.914
_cell_length_b 3.914
_cell_length_c 15.452
_cell_angle_alpha 90.00
_cell_angle_beta 90.00
_cell_angle_gamma 90.00
_symmetry_space_group_name_H-M 'P 4/m m m'
_symmetry_Int_Tables_number 123
_symmetry_space_group_name_Hall '-P 4 2'
loop_
_atom_site_label
_atom_site_fract_x
_atom_site_fract_y
_atom_site_fract_z
Mn1 0.000 0.000 0.000
Mn2 0.000 0.000 0.255
Be1 0.000 0.000 0.500
Pd1 0.000 0.500 0.127
Pd2 0.000 0.500 0.382
Pd3 0.500 0.500 0.000
Pd4 0.500 0.500 0.255
Pd5 0.500 0.500 0.500
```

Principal peaks in the range 15° ≤ 2θ ≤ 90°, in order of rising 2θ:
Position (°2θ)	I (rel.)
22.72	7
32.57	5
40.08	100
46.39	33
47.05	15
67.70	10
68.22	19
81.69	24
82.65	10
86.52	10

---

No. 3
Theoretical X-ray powder pattern of MnBeSiPd for Cu Kα (λ = 1.5418 Å), from a DFT-relaxed cell (PBE, Alexandria).

Crystal structure
```
data_MnBeSiPd
_cell_length_a 5.660
_cell_length_b 5.660
_cell_length_c 5.660
_cell_angle_alpha 90.00
_cell_angle_beta 90.00
_cell_angle_gamma 90.00
_symmetry_space_group_name_H-M 'F -4 3 m'
_symmetry_Int_Tables_number 216
_symmetry_space_group_name_Hall 'F -4 2 3'
loop_
_atom_site_label
_atom_site_fract_x
_atom_site_fract_y
_atom_site_fract_z
Mn1 0.000 0.000 0.000
Be1 0.250 0.250 0.750
Si1 0.250 0.250 0.250
Pd1 0.000 0.000 0.500
```

Principal peaks in the range 15° ≤ 2θ ≤ 90°, in order of rising 2θ:
Position (°2θ)	I (rel.)
27.29	22
31.62	59
45.32	100
53.71	11
56.31	15
66.03	16
72.84	4
75.06	18
83.72	32

---

No. 4
Theoretical X-ray powder pattern of MnBeTcPd for Cu Kα (λ = 1.5418 Å), from a DFT-relaxed cell (PBE, Alexandria).

Crystal structure
```
data_MnBeTcPd
_cell_length_a 2.7064
_cell_length_b 2.7064
_cell_length_c 7.8873
_cell_angle_alpha 90.00
_cell_angle_beta 90.00
_cell_angle_gamma 120.00
_symmetry_space_group_name_H-M 'P 3 m 1'
_symmetry_Int_Tables_number 156
loop_
_symmetry_equiv_pos_as_xyz
'x,y,z'
'-y,x-y,z'
'-x+y,-x,z'
'-y,-x,z'
'-x+y,y,z'
'x,x-y,z'
loop_
_atom_site_label
_atom_site_fract_x
_atom_site_fract_y
_atom_site_fract_z
Mn1 0.0000 0.0000 0.0000
Be1 0.3333 0.6667 0.4927
Tc1 0.6667 0.3333 0.2456
Pd1 0.6667 0.3333 0.7196
```

Principal peaks in the range 15° ≤ 2θ ≤ 90°, in order of rising 2θ:
Position (°2θ)	I (rel.)
22.55	39
38.41	46
40.14	11
44.99	100
46.03	18
61.45	21
69.46	16
84.50	12
86.67	14
87.41	16

---

Copy entry 1 word for word.
Theoretical X-ray powder pattern of Mn4BeP for Cu Kα (λ = 1.5418 Å), from a DFT-relaxed cell (PBE, Alexandria).

Crystal structure
```
data_Mn4BeP
_cell_length_a 6.489
_cell_length_b 6.489
_cell_length_c 6.489
_cell_angle_alpha 90.00
_cell_angle_beta 90.00
_cell_angle_gamma 90.00
_symmetry_space_group_name_H-M 'F -4 3 m'
_symmetry_Int_Tables_number 216
_symmetry_space_group_name_Hall 'F -4 2 3'
loop_
_atom_site_label
_atom_site_fract_x
_atom_site_fract_y
_atom_site_fract_z
Mn1 0.125 0.125 0.125
Be1 0.000 0.000 0.500
P1 0.250 0.250 0.750
```

Principal peaks in the range 15° ≤ 2θ ≤ 90°, in order of rising 2θ:
Position (°2θ)	I (rel.)
23.75	86
27.49	4
39.27	6
46.41	100
48.60	76
56.74	24
62.37	15
76.24	27
84.45	27
89.31	10

---

- Which formula does entry 4 have?
  MnBeTcPd

---

- Number 4 is which compound?
  MnBeTcPd